1.
Simulated powder diffractogram
Compound: B3P
Radiation: Cu Kα (weighted mean of Kα1 and Kα2)
Structure: a crystal structure in Alexandria, relaxed with PBE
Kinematic intensities with the Lorentz-polarization factor, no thermal factor.

Peak list (6 most intense, 2θ from 5° to 70°, in order of rising 2θ)
2θ = 29.8°, d 3.002, I 572, hkl 1 1 0
2θ = 34.2°, d 2.620, I 1000, hkl 1 1 -1
2θ = 42.1°, d 2.145, I 669, hkl 1 1 1
2θ = 44.1°, d 2.054, I 276, hkl 0 2 1
2θ = 61.8°, d 1.501, I 395, hkl 2 2 0
2θ = 62.2°, d 1.493, I 229, hkl 0 2 2

Cell and atoms:
Lattice parameters (Å, degrees): 3.9280 4.9031 3.8940 90.00 104.85 90.00
Space group C2 (No. 5)
Inequivalent atoms, fractional coordinates:
B 0.0000 0.0000 0.0000
B 0.2099 0.3166 0.1883
P 0.0000 0.5336 0.5000



2.
Simulated powder diffractogram
Compound: B3P
Radiation: Cu Kα (weighted mean of Kα1 and Kα2)
Structure: a crystal structure in Alexandria, relaxed with PBE
Kinematic intensities with the Lorentz-polarization factor, no thermal factor.

Peak list (6 most intense, 2θ from 5° to 70°, in order of rising 2θ)
2θ = 22.5°, d 3.948, I 566, hkl 0 0 1
2θ = 30.2°, d 2.959, I 1000, hkl 1 1 0
2θ = 31.1°, d 2.875, I 909, hkl 1 1 -1
2θ = 45.3°, d 2.004, I 281, hkl 2 0 0
2θ = 45.9°, d 1.976, I 506, hkl 1 1 -2
2θ = 58.8°, d 1.569, I 257, hkl 2 2 -1

Cell and atoms:
Lattice parameters (Å, degrees): 4.4972 4.3895 4.4309 90.00 117.00 90.00
Space group Cm (No. 8)
Inequivalent atoms, fractional coordinates:
B 0.0000 0.0000 0.0000
B 0.1042 0.2969 0.7918
P 0.1487 0.0000 0.4842



3.
Simulated powder diffractogram
Compound: B3P2
Radiation: Cu Kα (weighted mean of Kα1 and Kα2)
Structure: a crystal structure in Alexandria, relaxed with PBE
Kinematic intensities with the Lorentz-polarization factor, no thermal factor.

Peak list (6 most intense, 2θ from 5° to 70°, in order of rising 2θ)
2θ = 22.7°, d 3.917, I 1000, hkl 2 0 0
2θ = 30.3°, d 2.948, I 189, hkl 1 1 0
2θ = 33.7°, d 2.661, I 299, hkl 1 1 -1
2θ = 37.0°, d 2.426, I 270, hkl 2 0 -2
2θ = 37.9°, d 2.374, I 647, hkl 1 1 1
2θ = 63.0°, d 1.475, I 293, hkl 1 1 -3

Cell and atoms:
Lattice parameters (Å, degrees): 8.3241 3.1817 5.0464 90.00 109.75 90.00
Space group Cm (No. 8)
Inequivalent atoms, fractional coordinates:
B 0.0000 0.0000 0.0000
B 0.1334 0.0000 0.3629
B 0.3471 0.0000 0.4355
P 0.4191 0.0000 0.1054
P 0.4824 0.5000 0.6041



4.
Simulated powder diffractogram
Compound: Pa2BP6
Radiation: Cu Kα (weighted mean of Kα1 and Kα2)
Structure: a crystal structure in Alexandria, relaxed with PBE
Kinematic intensities with the Lorentz-polarization factor, no thermal factor.

Peak list (6 most intense, 2θ from 5° to 70°, in order of rising 2θ)
2θ = 19.8°, d 4.476, I 865, hkl 1 1 -1
2θ = 20.7°, d 4.287, I 586, hkl 1 0 -2
2θ = 25.6°, d 3.482, I 611, hkl 0 2 1
2θ = 29.5°, d 3.032, I 517, hkl 1 1 1
2θ = 37.6°, d 2.390, I 1000, hkl 2 1 -3
2θ = 39.7°, d 2.270, I 547, hkl 1 3 0

Cell and atoms:
Lattice parameters (Å, degrees): 5.4848 7.8025 9.0956 90.00 121.93 90.00
Space group P2_1/c (No. 14)
Inequivalent atoms, fractional coordinates:
Pa 0.1610 0.0746 0.2738
B 0.0000 0.0000 0.5000
P 0.2631 0.1384 0.9999
P 0.3205 0.1115 0.6620
P 0.3353 0.7395 0.9628



5.
Simulated powder diffractogram
Compound: RbB3P3
Radiation: Cu Kα (weighted mean of Kα1 and Kα2)
Structure: a crystal structure in Alexandria, relaxed with PBE
Kinematic intensities with the Lorentz-polarization factor, no thermal factor.

Peak list (6 most intense, 2θ from 5° to 70°, in order of rising 2θ)
2θ = 9.4°, d 9.426, I 284, hkl 0 0 3
2θ = 28.4°, d 3.142, I 666, hkl 0 0 9
2θ = 33.2°, d 2.696, I 1000, hkl 1 1 3
2θ = 37.2°, d 2.416, I 910, hkl 2 -1 6
2θ = 56.7°, d 1.624, I 285, hkl 3 0 0
2θ = 64.6°, d 1.443, I 328, hkl 3 0 9

Cell and atoms:
Lattice parameters (Å, degrees): 5.6261 5.6261 28.2780 90.00 90.00 120.00
Space group R-3 (No. 148, hexagonal axes)
Inequivalent atoms, fractional coordinates:
Rb 0.0000 0.0000 0.1666
B 0.0000 0.3339 0.6015
P 0.0000 0.3329 0.3961



6.
Simulated powder diffractogram
Compound: RbTlBP
Radiation: Cu Kα (weighted mean of Kα1 and Kα2)
Structure: a crystal structure in Alexandria, relaxed with PBE
Kinematic intensities with the Lorentz-polarization factor, no thermal factor.

Peak list (6 most intense, 2θ from 5° to 70°, in order of rising 2θ)
2θ = 15.6°, d 5.693, I 623, hkl 0 0 1
2θ = 24.7°, d 3.603, I 525, hkl 1 0 1
2θ = 26.2°, d 3.407, I 923, hkl 1 0 -1
2θ = 26.8°, d 3.324, I 781, hkl 1 1 1
2θ = 26.9°, d 3.309, I 1000, hkl 0 1 -1
2θ = 29.6°, d 3.021, I 623, hkl 1 -1 0

Cell and atoms:
Lattice parameters (Å, degrees): 4.5134 4.9447 5.8622 76.62 84.56 80.17
Space group P1 (No. 1)
Inequivalent atoms, fractional coordinates:
Rb 0.0000 0.0000 0.0000
Tl 0.4384 0.3539 0.3707
B 0.9305 0.5462 0.5464
P 0.5981 0.7160 0.6641



7.
Simulated powder diffractogram
Compound: Sr2BP2Ru2
Radiation: Cu Kα (weighted mean of Kα1 and Kα2)
Structure: a crystal structure in Alexandria, relaxed with PBE
Kinematic intensities with the Lorentz-polarization factor, no thermal factor.

Peak list (6 most intense, 2θ from 5° to 70°, in order of rising 2θ)
2θ = 14.9°, d 5.935, I 464, hkl 0 0 1
2θ = 30.5°, d 2.931, I 594, hkl 2 0 1
2θ = 32.2°, d 2.782, I 961, hkl 3 1 -1
2θ = 33.9°, d 2.646, I 1000, hkl 1 1 -2
2θ = 36.3°, d 2.473, I 583, hkl 3 1 0
2θ = 44.2°, d 2.050, I 411, hkl 0 2 0

Cell and atoms:
Lattice parameters (Å, degrees): 11.3906 4.0998 7.2654 90.00 125.23 90.00
Space group C2/m (No. 12)
Inequivalent atoms, fractional coordinates:
Sr 0.0633 0.0000 0.3214
B 0.0000 0.5000 0.0000
P 0.1955 0.5000 0.7517
Ru 0.1955 0.5000 0.0762



8.
Simulated powder diffractogram
Compound: B2P2S
Radiation: Cu Kα (weighted mean of Kα1 and Kα2)
Structure: a crystal structure in Alexandria, relaxed with PBE
Kinematic intensities with the Lorentz-polarization factor, no thermal factor.

Peak list (6 most intense, 2θ from 5° to 70°, in order of rising 2θ)
2θ = 31.0°, d 2.880, I 973, hkl 0 1 1
2θ = 32.3°, d 2.773, I 1000, hkl 1 0 -1
2θ = 35.7°, d 2.517, I 789, hkl 0 1 -2
2θ = 36.7°, d 2.451, I 542, hkl 1 -1 1
2θ = 37.2°, d 2.416, I 449, hkl 1 0 1
2θ = 44.4°, d 2.042, I 404, hkl 0 2 -1

Cell and atoms:
Lattice parameters (Å, degrees): 3.0670 4.2403 5.5227 102.13 96.02 103.52
Space group P1 (No. 1)
Inequivalent atoms, fractional coordinates:
B 0.0000 0.0000 0.0000
B 0.2236 0.3921 0.2081
P 0.2893 0.3816 0.5771
P 0.4295 0.9151 0.7785
S 0.8331 0.6834 0.2130



9.
Simulated powder diffractogram
Compound: B2P2S7
Radiation: Cu Kα (weighted mean of Kα1 and Kα2)
Structure: a crystal structure in Alexandria, relaxed with PBE
Kinematic intensities with the Lorentz-polarization factor, no thermal factor.

Peak list (6 most intense, 2θ from 5° to 70°, in order of rising 2θ)
2θ = 12.3°, d 7.168, I 363, hkl 0 0 1
2θ = 18.9°, d 4.707, I 1000, hkl 1 1 -1
2θ = 32.4°, d 2.767, I 315, hkl 1 3 -1
2θ = 33.3°, d 2.692, I 504, hkl 2 0 -2
2θ = 36.8°, d 2.444, I 365, hkl 2 0 2
2θ = 38.8°, d 2.323, I 231, hkl 1 3 -2

Cell and atoms:
Lattice parameters (Å, degrees): 7.3490 9.6739 7.2018 90.00 95.57 90.00
Space group C2/m (No. 12)
Inequivalent atoms, fractional coordinates:
B 0.1822 0.0000 0.2000
P 0.0000 0.3531 0.5000
S 0.0000 0.0000 0.0000
S 0.1354 0.5000 0.3411
S 0.2476 0.1730 0.2615



10.
Simulated powder diffractogram
Compound: YBPS2
Radiation: Cu Kα (weighted mean of Kα1 and Kα2)
Structure: a crystal structure in Alexandria, relaxed with PBE
Kinematic intensities with the Lorentz-polarization factor, no thermal factor.

Peak list (6 most intense, 2θ from 5° to 70°, in order of rising 2θ)
2θ = 19.6°, d 4.521, I 173, hkl 1 0 0
2θ = 29.8°, d 2.996, I 242, hkl 1 0 1
2θ = 36.0°, d 2.498, I 1000, hkl 1 1 1
2θ = 39.9°, d 2.260, I 434, hkl 2 0 0
2θ = 61.9°, d 1.498, I 218, hkl 2 0 2
2θ = 69.9°, d 1.346, I 262, hkl 3 1 1

Cell and atoms:
Lattice parameters (Å, degrees): 4.5210 4.5210 4.0012 90.00 90.00 90.00
Space group P4/mmm (No. 123)
Inequivalent atoms, fractional coordinates:
Y 0.0000 0.0000 0.0000
B 0.5000 0.5000 0.5000
P 0.5000 0.5000 0.0000
S 0.0000 0.5000 0.5000



11.
Simulated powder diffractogram
Compound: BSb2TeP
Radiation: Cu Kα (weighted mean of Kα1 and Kα2)
Structure: a crystal structure in Alexandria, relaxed with PBE
Kinematic intensities with the Lorentz-polarization factor, no thermal factor.

Peak list (6 most intense, 2θ from 5° to 70°, in order of rising 2θ)
2θ = 18.3°, d 4.842, I 137, hkl 1 0 0
2θ = 32.3°, d 2.775, I 1000, hkl 1 1 1
2θ = 37.1°, d 2.421, I 368, hkl 2 0 0
2θ = 38.0°, d 2.369, I 173, hkl 0 0 2
2θ = 54.2°, d 1.693, I 241, hkl 2 0 2
2θ = 63.9°, d 1.457, I 272, hkl 3 1 1

Cell and atoms:
Lattice parameters (Å, degrees): 4.8417 4.8417 4.7389 90.00 90.00 90.00
Space group P4/mmm (No. 123)
Inequivalent atoms, fractional coordinates:
B 0.0000 0.0000 0.0000
Sb 0.0000 0.5000 0.0000
Te 0.0000 0.0000 0.5000
P 0.5000 0.5000 0.5000



12.
Simulated powder diffractogram
Compound: ScB2P
Radiation: Cu Kα (weighted mean of Kα1 and Kα2)
Structure: a crystal structure in Alexandria, relaxed with PBE
Kinematic intensities with the Lorentz-polarization factor, no thermal factor.

Peak list (6 most intense, 2θ from 5° to 70°, in order of rising 2θ)
2θ = 22.7°, d 3.915, I 581, hkl 0 0 4
2θ = 37.4°, d 2.405, I 1000, hkl 1 1 2
2θ = 46.4°, d 1.958, I 182, hkl 0 0 8
2θ = 50.2°, d 1.816, I 395, hkl 1 1 6
2θ = 51.1°, d 1.787, I 187, hkl 2 0 0
2θ = 56.6°, d 1.626, I 269, hkl 2 0 4

Cell and atoms:
Lattice parameters (Å, degrees): 3.5745 3.5745 15.6603 90.00 90.00 90.00
Space group I4_1/amd (No. 141, origin choice 2)
Inequivalent atoms, fractional coordinates:
Sc 0.0000 0.2500 0.3750
B 0.0000 0.0000 0.0000
P 0.0000 0.2500 0.8750